Lu4Ge8Ru: computed powder diffractogram (λ = 1.5418 Å (Cu Kα)), based on a crystal structure in the Materials Project, relaxed with GGA-PBE.
Neutral-atom scattering factors, no anomalous dispersion.

Structural model:
abc: 3.9854 4.1309 15.9599
angles: 90.00 90.00 90.00
Element x y z (fractional)
Lu  0.0000  0.0000  0.0000
Lu  0.0000  0.5000  0.4871
Lu  0.5000  0.0000  0.7893
Lu  0.5000  0.5000  0.2843
Ge  0.0000  0.0000  0.3324
Ge  0.0000  0.0000  0.6191
Ge  0.0000  0.5000  0.1396
Ge  0.0000  0.5000  0.8549
Ge  0.5000  0.0000  0.1443
Ge  0.5000  0.0000  0.4422
Ge  0.5000  0.5000  0.6172
Ge  0.5000  0.5000  0.9591
Ru  0.0000  0.5000  0.7033

The 10 most intense peaks (5 to 70 degrees two-theta), in order of falling intensity:
2θ (°)  I/Imax
35.6  100
43.8  17
45.5  16
40.8  13
25.0  13
61.4  12
56.4  11
33.7  11
65.0  11
31.7  10